# Tb3ZnIr3
Theoretical powder X-ray diffraction pattern, Cu Kα, 1.54184 Å. Input: the GGA-PBE geometry in Alexandria.
Lines closer than 0.1° are merged.

The 10 most intense peaks (2θ = 15–90°), in order of rising 2θ:
(hkl), d [Å], Rel. int.
1 1 2, 3.372, 19
1 1 3, 2.957, 16
1 3 0, 2.640, 32
1 1 4, 2.570, 45
0 0 6, 2.288, 100
0 4 3, 2.230, 18
2 0 0, 2.091, 31
2 0 6, 1.544, 14
2 4 3, 1.526, 12
3 3 3, 1.242, 11

Cell and atoms:
```
data_Tb3ZnIr3
_chemical_formula_sum 'Tb12 Zn4 Ir12'
_symmetry_space_group_name_H-M 'C m c m'
_symmetry_Int_Tables_number 63
_symmetry_space_group_name_Hall '-C 2c 2'
_cell_length_a 4.182
_cell_length_b 10.214
_cell_length_c 13.743
_cell_angle_alpha 90.00
_cell_angle_beta 90.00
_cell_angle_gamma 90.00
loop_
_atom_site_label
_atom_site_fract_x
_atom_site_fract_y
_atom_site_fract_z
Tb1 0.000 0.018 0.250
Tb2 0.000 0.301 0.104
Zn1 0.000 0.000 0.000
Ir1 0.000 0.263 0.750
Ir2 0.000 0.409 0.591
```